For CsCuW2O8, a structure optimized by DFT (GGA+U) gives the calculated X-ray diffraction stick pattern in this record (Cu Kα X-rays).
Intensities are scaled so that the largest is 100.

Main lines, by angle (10° ≤ 2θ ≤ 90°):
2θ 12.2, rel. 55
2θ 18.2, rel. 31
2θ 22.2, rel. 81
2θ 24.1, rel. 55
2θ 25.1, rel. 40
2θ 27.3, rel. 37
2θ 27.5, rel. 100
2θ 32.6, rel. 39
2θ 39.8, rel. 25
2θ 44.6, rel. 30

Cell and atoms:
```
CsCuW2O8
1.0
6.0148 -2.7479 0.0000
6.0148 2.7479 0.0000
-3.9009 0.0000 7.2452
Cs Cu W O
1 1 2 8
Direct
0.0000 0.0000 0.0000 Cs
0.5000 0.5000 0.5000 Cu
0.1859 0.1859 0.6368 W
0.8141 0.8141 0.3632 W
0.1676 0.6334 0.3352 O
0.1893 0.1893 0.4228 O
0.3408 0.3408 0.8253 O
0.3666 0.8324 0.6648 O
0.6334 0.1676 0.3352 O
0.6592 0.6592 0.1747 O
0.8107 0.8107 0.5772 O
0.8324 0.3666 0.6648 O
```